The following is a simulated powder XRD pattern of Pm6CdTe5. It was derived from DFT lattice parameters and positions (GGA-PBE), using copper Kα.
Peak positions follow from Bragg's law for the DFT cell and can differ from measured ones.

Crystal structure
```
data_Pm6CdTe5
_chemical_formula_sum 'Pm12 Cd2 Te10'
_space_group_name_H-M_alt 'C 1 2/m 1'
_space_group_IT_number 12
_cell_length_a 7.761
_cell_length_b 13.387
_cell_length_c 7.711
_cell_angle_alpha 90.00
_cell_angle_beta 109.46
_cell_angle_gamma 90.00
loop_
_space_group_symop_operation_xyz
'x,y,z'
'-x,-y,-z'
'-x,y,-z'
'x,-y,z'
'x+1/2,y+1/2,z'
'-x+1/2,-y+1/2,-z'
'-x+1/2,y+1/2,-z'
'x+1/2,-y+1/2,z'
loop_
_atom_site_label
_atom_site_fract_x
_atom_site_fract_y
_atom_site_fract_z
Pm1 0.245 0.000 0.252
Pm2 0.246 0.165 0.746
Cd1 0.000 0.000 0.500
Te1 0.000 0.169 0.000
Te2 0.000 0.335 0.500
Te3 0.000 0.500 0.000
```

Top 8 peaks for 2θ from 15° to 90°, by angle:
2θ/deg, intensity, h k l
28.27, 100, 1 3 1
40.33, 38, 2 0 2
40.48, 38, 0 6 0
50.06, 14, 2 6 -2
58.46, 13, 2 6 2
66.04, 12, 4 6 0
66.19, 12, 3 3 3
66.33, 12, 0 6 4